(1)
Starting from a GGA-PBE-relaxed structure, the powder diffractogram of Dy2Cd2Hg was simulated for Cu Kα (λ = 1.5418 Å).

Structural model:
```
Dy2Cd2Hg
1.0
2.3807 -7.6606 0.0000
2.3807 7.6606 0.0000
0.0000 0.0000 3.4244
Dy Cd Hg
2 2 1
direct
0.1114 0.8886 0.0000 Dy
0.8886 0.1114 0.0000 Dy
0.3002 0.6998 0.5000 Cd
0.6998 0.3002 0.5000 Cd
0.5000 0.5000 0.5000 Hg
```

Largest 10 diffraction maxima, sorted by position, 10° ≤ 2θ ≤ 90°:
2θ = 32.7°, rel. 100; 2θ = 34.8°, rel. 85; 2θ = 35.2°, rel. 52; 2θ = 37.8°, rel. 36; 2θ = 44.2°, rel. 15; 2θ = 52.6°, rel. 33; 2θ = 53.5°, rel. 13; 2θ = 64.1°, rel. 19; 2θ = 65.1°, rel. 14; 2θ = 65.4°, rel. 27

***

(2)
Starting from a GGA-PBE-relaxed structure, the powder diffractogram of DyCd23Hg6 was simulated for Cu Kα (λ = 1.5418 Å).

Structural model:
```
DyCd23Hg6
1.0
0.0000 7.1034 7.1034
7.1034 0.0000 7.1034
7.1034 7.1034 0.0000
Dy Cd Hg
1 23 6
direct
0.0000 0.0000 0.0000 Dy
0.0000 0.0000 0.5000 Cd
0.0000 0.5000 0.0000 Cd
0.0000 0.5000 0.5000 Cd
0.1318 0.6227 0.6227 Cd
0.1513 0.1513 0.1513 Cd
0.1513 0.1513 0.5460 Cd
0.1513 0.5460 0.1513 Cd
0.3773 0.3773 0.3773 Cd
0.3773 0.3773 0.8682 Cd
0.3773 0.8682 0.3773 Cd
0.4540 0.8487 0.8487 Cd
0.5000 0.0000 0.0000 Cd
0.5000 0.0000 0.5000 Cd
0.5000 0.5000 0.0000 Cd
0.5000 0.5000 0.5000 Cd
0.5460 0.1513 0.1513 Cd
0.6227 0.1318 0.6227 Cd
0.6227 0.6227 0.1318 Cd
0.6227 0.6227 0.6227 Cd
0.8487 0.4540 0.8487 Cd
0.8487 0.8487 0.4540 Cd
0.8487 0.8487 0.8487 Cd
0.8682 0.3773 0.3773 Cd
0.2212 0.2212 0.7788 Hg
0.2212 0.7788 0.2212 Hg
0.2212 0.7788 0.7788 Hg
0.7788 0.2212 0.2212 Hg
0.7788 0.2212 0.7788 Hg
0.7788 0.7788 0.2212 Hg
```

Largest 10 diffraction maxima, sorted by position, 10° ≤ 2θ ≤ 90°:
2θ = 28.1°, rel. 11; 2θ = 30.8°, rel. 6; 2θ = 32.8°, rel. 25; 2θ = 35.8°, rel. 100; 2θ = 38.0°, rel. 7; 2θ = 49.3°, rel. 11; 2θ = 51.5°, rel. 13; 2θ = 62.3°, rel. 6; 2θ = 64.2°, rel. 21; 2θ = 68.3°, rel. 13

***

(3)
Starting from a GGA-PBE-relaxed structure, the powder diffractogram of DyCd8Hg6 was simulated for Cu Kα (λ = 1.5418 Å).

Structural model:
```
DyCd8Hg6
1.0
4.2588 2.4588 6.2826
-4.2588 2.4588 6.2826
0.0000 -4.9177 6.2826
Dy Cd Hg
1 8 6
direct
0.0000 0.0000 0.0000 Dy
0.1418 0.4306 0.7574 Cd
0.2426 0.8582 0.5694 Cd
0.3456 0.3456 0.3456 Cd
0.4306 0.7574 0.1418 Cd
0.5694 0.2426 0.8582 Cd
0.6544 0.6544 0.6544 Cd
0.7574 0.1418 0.4306 Cd
0.8582 0.5694 0.2426 Cd
0.0350 0.7508 0.4162 Hg
0.2492 0.5838 0.9650 Hg
0.4162 0.0350 0.7508 Hg
0.5838 0.9650 0.2492 Hg
0.7508 0.4162 0.0350 Hg
0.9650 0.2492 0.5838 Hg
```

Largest 10 diffraction maxima, sorted by position, 10° ≤ 2θ ≤ 90°:
2θ = 20.9°, rel. 24; 2θ = 25.3°, rel. 37; 2θ = 28.4°, rel. 13; 2θ = 35.5°, rel. 100; 2θ = 36.5°, rel. 95; 2θ = 46.9°, rel. 18; 2θ = 48.4°, rel. 13; 2θ = 51.9°, rel. 29; 2θ = 63.1°, rel. 19; 2θ = 65.1°, rel. 25

***

(4)
Starting from a GGA-PBE-relaxed structure, the powder diffractogram of Dy2CdHg9 was simulated for Cu Kα (λ = 1.5418 Å).

Structural model:
```
Dy2CdHg9
1.0
4.6946 0.0000 0.0000
0.0000 4.6946 0.0000
0.0000 0.0000 13.1669
Dy Cd Hg
2 1 9
direct
0.0000 0.0000 0.1751 Dy
0.0000 0.0000 0.8249 Dy
0.0000 0.0000 0.5000 Cd
0.0000 0.5000 0.0000 Hg
0.0000 0.5000 0.3367 Hg
0.0000 0.5000 0.6633 Hg
0.5000 0.0000 0.0000 Hg
0.5000 0.0000 0.3367 Hg
0.5000 0.0000 0.6633 Hg
0.5000 0.5000 0.1643 Hg
0.5000 0.5000 0.5000 Hg
0.5000 0.5000 0.8357 Hg
```

Largest 10 diffraction maxima, sorted by position, 10° ≤ 2θ ≤ 90°:
2θ = 33.9°, rel. 100; 2θ = 38.3°, rel. 36; 2θ = 41.1°, rel. 15; 2θ = 55.4°, rel. 13; 2θ = 57.5°, rel. 22; 2θ = 66.5°, rel. 29; 2θ = 70.3°, rel. 12; 2θ = 71.2°, rel. 12; 2θ = 82.1°, rel. 4; 2θ = 89.3°, rel. 2

***

(5)
Starting from a GGA-PBE-relaxed structure, the powder diffractogram of DyCd8Hg4 was simulated for Cu Kα (λ = 1.5418 Å).

Structural model:
```
DyCd8Hg4
1.0
4.2798 0.0000 0.0000
0.0000 4.2809 0.0000
0.0000 0.0000 17.8085
Dy Cd Hg
1 8 4
direct
0.0000 0.0000 0.0000 Dy
0.0000 0.0000 0.5592 Cd
0.0000 0.0000 0.8276 Cd
0.0000 0.5000 0.1354 Cd
0.0000 0.5000 0.6982 Cd
0.5000 0.0000 0.1359 Cd
0.5000 0.0000 0.4178 Cd
0.5000 0.5000 0.2798 Cd
0.5000 0.5000 0.5642 Cd
0.0000 0.0000 0.2751 Hg
0.0000 0.5000 0.4228 Hg
0.5000 0.0000 0.7076 Hg
0.5000 0.5000 0.9288 Hg
```

Largest 10 diffraction maxima, sorted by position, 10° ≤ 2θ ≤ 90°:
2θ = 28.9°, rel. 15; 2θ = 33.2°, rel. 100; 2θ = 35.3°, rel. 25; 2θ = 35.9°, rel. 58; 2θ = 42.2°, rel. 52; 2θ = 56.2°, rel. 26; 2θ = 61.2°, rel. 19; 2θ = 65.4°, rel. 19; 2θ = 71.5°, rel. 21; 2θ = 73.1°, rel. 14

***

(6)
Starting from a GGA-PBE-relaxed structure, the powder diffractogram of NdDy2Cd2Hg2 was simulated for Cu Kα (λ = 1.5418 Å).

Structural model:
```
NdDy2Cd2Hg2
1.0
2.4825 1.4333 8.8772
-2.4825 1.4333 8.8772
0.0000 -2.8666 8.8772
Nd Dy Cd Hg
1 2 2 2
direct
0.0000 0.0000 0.0000 Nd
0.1260 0.1260 0.1260 Dy
0.8740 0.8740 0.8740 Dy
0.2554 0.2554 0.2554 Cd
0.7446 0.7446 0.7446 Cd
0.4020 0.4020 0.4020 Hg
0.5980 0.5980 0.5980 Hg
```

Largest 10 diffraction maxima, sorted by position, 10° ≤ 2θ ≤ 90°:
2θ = 20.0°, rel. 20; 2θ = 26.6°, rel. 15; 2θ = 31.4°, rel. 43; 2θ = 34.1°, rel. 58; 2θ = 36.2°, rel. 100; 2θ = 41.7°, rel. 19; 2θ = 50.5°, rel. 19; 2θ = 63.7°, rel. 19; 2θ = 64.5°, rel. 25; 2θ = 65.1°, rel. 18

***

(7)
Starting from a GGA-PBE-relaxed structure, the powder diffractogram of DyCdNiHg was simulated for Cu Kα (λ = 1.5418 Å).

Structural model:
```
DyCdNiHg
1.0
0.0000 3.4429 3.4429
3.4429 0.0000 3.4429
3.4429 3.4429 0.0000
Dy Cd Ni Hg
1 1 1 1
direct
0.0000 0.0000 0.0000 Dy
0.5000 0.5000 0.5000 Cd
0.2500 0.2500 0.2500 Ni
0.7500 0.7500 0.7500 Hg
```

Largest 9 diffraction maxima, sorted by position, 10° ≤ 2θ ≤ 90°:
2θ = 22.4°, rel. 16; 2θ = 36.9°, rel. 100; 2θ = 43.6°, rel. 9; 2θ = 53.2°, rel. 17; 2θ = 58.4°, rel. 4; 2θ = 66.5°, rel. 35; 2θ = 71.1°, rel. 3; 2θ = 78.6°, rel. 11; 2θ = 83.0°, rel. 3

***

(8)
Starting from a GGA-PBE-relaxed structure, the powder diffractogram of PrDy2Cd2Hg2 was simulated for Cu Kα (λ = 1.5418 Å).

Structural model:
```
PrDy2Cd2Hg2
1.0
2.4868 1.4358 8.9106
-2.4868 1.4358 8.9106
0.0000 -2.8715 8.9106
Pr Dy Cd Hg
1 2 2 2
direct
0.0000 0.0000 0.0000 Pr
0.1262 0.1262 0.1262 Dy
0.8738 0.8738 0.8738 Dy
0.2549 0.2549 0.2549 Cd
0.7451 0.7451 0.7451 Cd
0.4035 0.4035 0.4035 Hg
0.5965 0.5965 0.5965 Hg
```

Largest 10 diffraction maxima, sorted by position, 10° ≤ 2θ ≤ 90°:
2θ = 19.9°, rel. 22; 2θ = 26.6°, rel. 15; 2θ = 31.3°, rel. 45; 2θ = 34.0°, rel. 54; 2θ = 36.1°, rel. 100; 2θ = 41.6°, rel. 20; 2θ = 50.4°, rel. 18; 2θ = 63.6°, rel. 17; 2θ = 64.3°, rel. 24; 2θ = 65.0°, rel. 18

***

(9)
Starting from a GGA-PBE-relaxed structure, the powder diffractogram of Dy3Ho7Cd was simulated for Cu Kα (λ = 1.5418 Å).

Structural model:
```
Dy3Ho7Cd
1.0
6.9140 0.0000 0.0000
-3.4570 5.9877 0.0000
0.0000 0.0000 8.4844
Dy Ho Cd
3 7 1
direct
0.1683 0.3365 0.0000 Dy
0.1683 0.8317 0.0000 Dy
0.6635 0.8317 0.0000 Dy
0.0061 0.5030 0.3386 Ho
0.3319 0.1659 0.6633 Ho
0.3333 0.6667 0.6707 Ho
0.4970 0.5030 0.3386 Ho
0.4970 0.9939 0.3386 Ho
0.8341 0.1659 0.6633 Ho
0.8341 0.6681 0.6633 Ho
0.0000 0.0000 0.3390 Cd
```

Largest 10 diffraction maxima, sorted by position, 10° ≤ 2θ ≤ 90°:
2θ = 18.1°, rel. 6; 2θ = 31.7°, rel. 100; 2θ = 36.7°, rel. 51; 2θ = 52.9°, rel. 35; 2θ = 63.0°, rel. 42; 2θ = 66.2°, rel. 9; 2θ = 86.7°, rel. 9; 2θ = 86.8°, rel. 9; 2θ = 89.6°, rel. 8; 2θ = 89.7°, rel. 8

***

(10)
Starting from a GGA-PBE-relaxed structure, the powder diffractogram of DyHo2Cd3 was simulated for Cu Kα (λ = 1.5418 Å).

Structural model:
```
DyHo2Cd3
1.0
3.7357 0.0000 0.0000
0.0000 3.7357 0.0000
0.0000 0.0000 11.1838
Dy Ho Cd
1 2 3
direct
0.0000 0.0000 0.0000 Dy
0.0000 0.0000 0.3338 Ho
0.0000 0.0000 0.6662 Ho
0.5000 0.5000 0.1680 Cd
0.5000 0.5000 0.5000 Cd
0.5000 0.5000 0.8320 Cd
```

Largest 10 diffraction maxima, sorted by position, 10° ≤ 2θ ≤ 90°:
2θ = 23.8°, rel. 3; 2θ = 34.0°, rel. 100; 2θ = 41.9°, rel. 1; 2θ = 48.8°, rel. 12; 2θ = 48.9°, rel. 6; 2θ = 55.0°, rel. 2; 2θ = 60.8°, rel. 36; 2θ = 71.5°, rel. 11; 2θ = 81.5°, rel. 11; 2θ = 81.7°, rel. 5

***

(11)
Starting from a GGA-PBE-relaxed structure, the powder diffractogram of Dy4HoCd2 was simulated for Cu Kα (λ = 1.5418 Å).

Structural model:
```
Dy4HoCd2
1.0
2.5544 1.4748 10.1154
-2.5544 1.4748 10.1154
0.0000 -2.9496 10.1154
Dy Ho Cd
4 1 2
direct
0.1077 0.1077 0.1077 Dy
0.2966 0.2966 0.2966 Dy
0.7034 0.7034 0.7034 Dy
0.8923 0.8923 0.8923 Dy
0.5000 0.5000 0.5000 Ho
0.3999 0.3999 0.3999 Cd
0.6001 0.6001 0.6001 Cd
```

Largest 10 diffraction maxima, sorted by position, 10° ≤ 2θ ≤ 90°:
2θ = 20.3°, rel. 14; 2θ = 24.9°, rel. 71; 2θ = 35.1°, rel. 100; 2θ = 35.9°, rel. 86; 2θ = 43.5°, rel. 16; 2θ = 51.1°, rel. 31; 2θ = 57.1°, rel. 15; 2θ = 63.0°, rel. 18; 2θ = 63.5°, rel. 32; 2θ = 85.3°, rel. 15

***

(12)
Starting from a GGA-PBE-relaxed structure, the powder diffractogram of DyHoCd14 was simulated for Cu Kα (λ = 1.5418 Å).

Structural model:
```
DyHoCd14
1.0
6.5872 0.0000 0.0000
0.0000 6.5872 0.0000
0.0000 0.0000 8.5049
Dy Ho Cd
1 1 14
direct
0.0000 0.0000 0.0000 Dy
0.5000 0.5000 0.0000 Ho
0.0000 0.0000 0.5000 Cd
0.0000 0.5000 0.0000 Cd
0.0000 0.5000 0.5000 Cd
0.2503 0.2503 0.2575 Cd
0.2503 0.2503 0.7425 Cd
0.2503 0.7497 0.2575 Cd
0.2503 0.7497 0.7425 Cd
0.5000 0.0000 0.0000 Cd
0.5000 0.0000 0.5000 Cd
0.5000 0.5000 0.5000 Cd
0.7497 0.2503 0.2575 Cd
0.7497 0.2503 0.7425 Cd
0.7497 0.7497 0.2575 Cd
0.7497 0.7497 0.7425 Cd
```

Largest 10 diffraction maxima, sorted by position, 10° ≤ 2θ ≤ 90°:
2θ = 21.8°, rel. 1; 2θ = 29.1°, rel. 1; 2θ = 34.4°, rel. 100; 2θ = 38.7°, rel. 36; 2θ = 42.5°, rel. 14; 2θ = 55.8°, rel. 12; 2θ = 58.8°, rel. 20; 2θ = 67.3°, rel. 27; 2θ = 72.6°, rel. 21; 2θ = 82.9°, rel. 4